[1]
EuMgTiO3: computed XRD peak list (Cu Kα X-rays), based on a structure optimized by DFT (PBE).
Intensities are scaled so that the largest is 100.

The 8 most intense peaks (15 to 90 degrees two-theta), by angle:
| Position (°2θ) | d/Å | intensity | index |
| --- | --- | --- | --- |
| 20.8 | 4.271 | 65 | 1 0 1 |
| 27.5 | 3.247 | 54 | 0 1 2 |
| 31.0 | 2.885 | 27 | 0 0 3 |
| 31.6 | 2.835 | 100 | 1 1 0 |
| 38.1 | 2.362 | 29 | 0 2 1 |
| 42.3 | 2.136 | 20 | 2 0 2 |
| 44.8 | 2.022 | 95 | 1 1 3 |
| 65.6 | 1.424 | 29 | 3 0 3 |

Structure:
```
data_EuMgTiO3
_symmetry_space_group_name_H-M 'R 3 m'
_symmetry_Int_Tables_number 160
_symmetry_space_group_name_Hall 'R 3 -2"'
_cell_length_a 5.6704
_cell_length_b 5.6704
_cell_length_c 8.6542
_cell_angle_alpha 90.00
_cell_angle_beta 90.00
_cell_angle_gamma 120.00
loop_
_atom_site_label
_atom_site_fract_x
_atom_site_fract_y
_atom_site_fract_z
Eu1 0.0000 0.0000 0.0000
Mg1 0.0000 0.0000 0.3428
Ti1 0.0000 0.0000 0.6505
O1 0.1670 0.3339 0.4675
```

[2]
EuMg2P2: computed XRD peak list (Cu Kα X-rays), based on a structure optimized by DFT (PBE).
Intensities are scaled so that the largest is 100.

The 8 most intense peaks (15 to 90 degrees two-theta), by angle:
| Position (°2θ) | d/Å | intensity | index |
| --- | --- | --- | --- |
| 23.7 | 3.749 | 19 | 1 0 0 |
| 26.8 | 3.325 | 100 | 0 1 1 |
| 34.6 | 2.595 | 62 | 0 1 2 |
| 41.7 | 2.165 | 36 | 1 1 0 |
| 44.9 | 2.020 | 19 | 1 0 3 |
| 50.3 | 1.814 | 18 | 2 0 1 |
| 55.3 | 1.662 | 16 | 2 0 2 |
| 57.3 | 1.607 | 16 | 1 1 3 |

Structure:
```
data_EuMg2P2
_symmetry_space_group_name_H-M 'P -3 m 1'
_symmetry_Int_Tables_number 164
_symmetry_space_group_name_Hall '-P 3 2"'
_cell_length_a 4.3293
_cell_length_b 4.3293
_cell_length_c 7.1931
_cell_angle_alpha 90.00
_cell_angle_beta 90.00
_cell_angle_gamma 120.00
loop_
_atom_site_label
_atom_site_fract_x
_atom_site_fract_y
_atom_site_fract_z
Eu1 0.0000 0.0000 0.0000
Mg1 0.3333 0.6667 0.6320
P1 0.3333 0.6667 0.2586
```

[3]
EuMgPb: computed XRD peak list (Cu Kα X-rays), based on a structure optimized by DFT (PBE).
Intensities are scaled so that the largest is 100.

The 8 most intense peaks (15 to 90 degrees two-theta), by angle:
| Position (°2θ) | d/Å | intensity | index |
| --- | --- | --- | --- |
| 22.5 | 3.944 | 41 | 1 0 2 |
| 23.3 | 3.822 | 52 | 1 1 1 |
| 29.0 | 3.081 | 34 | 1 1 2 |
| 30.1 | 2.965 | 100 | 2 1 1 |
| 35.0 | 2.567 | 29 | 0 1 3 |
| 36.4 | 2.468 | 31 | 0 2 0 |
| 38.7 | 2.325 | 19 | 3 0 2 |
| 43.2 | 2.092 | 16 | 1 2 2 |

Structure:
```
data_EuMgPb
_symmetry_space_group_name_H-M 'P n m a'
_symmetry_Int_Tables_number 62
_cell_length_a 8.1401
_cell_length_b 4.9355
_cell_length_c 9.0158
_cell_angle_alpha 90.00
_cell_angle_beta 90.00
_cell_angle_gamma 90.00
loop_
_symmetry_equiv_pos_as_xyz
'x,y,z'
'-x,-y,-z'
'-x+1/2,-y,z+1/2'
'x+1/2,y,-z+1/2'
'x+1/2,-y+1/2,-z+1/2'
'-x+1/2,y+1/2,z+1/2'
'-x,y+1/2,-z'
'x,-y+1/2,z'
loop_
_atom_site_label
_atom_site_fract_x
_atom_site_fract_y
_atom_site_fract_z
Eu1 0.0191 0.2500 0.1846
Mg1 0.1531 0.2500 0.5664
Pb1 0.2288 0.7500 0.3869
```